(1)
Computed powder XRD pattern of AcAl2RuO8 for Cu Kα (λ = 1.5418 Å), from DFT lattice parameters and positions (PBE).

Crystal structure
```
AcAl2RuO8
1.0
4.585 0.000 0.000
0.188 4.586 0.000
0.345 0.365 7.193
Ac Al Ru O
1 2 1 8
Direct
0.000 0.000 0.000 Ac
0.467 0.466 0.689 Al
0.533 0.534 0.311 Al
0.000 0.000 0.500 Ru
0.203 0.789 0.692 O
0.208 0.795 0.309 O
0.304 0.302 0.489 O
0.354 0.347 0.922 O
0.646 0.653 0.078 O
0.696 0.698 0.511 O
0.792 0.205 0.691 O
0.797 0.211 0.308 O
```

Largest 10 diffraction maxima, sorted by position, 5 to 70 degrees two-theta:
2θ/deg  d/Å  intensity
19.39  4.579  100
22.51  3.950  22
24.76  3.596  35
27.00  3.302  58
28.09  3.177  48
30.81  2.902  36
30.91  2.893  30
32.39  2.764  41
37.85  2.377  21
39.36  2.289  21

---

(2)
Computed powder XRD pattern of NaTl2Ge for Cu Kα (λ = 1.5418 Å), from DFT lattice parameters and positions (PBE).

Crystal structure
```
NaTl2Ge
1.0
4.769 0.000 0.000
-2.385 4.130 0.000
0.000 0.000 17.726
Na Tl Ge
3 6 3
Direct
0.000 0.000 0.000 Na
0.333 0.667 0.667 Na
0.667 0.333 0.333 Na
0.000 0.000 0.574 Tl
0.000 0.000 0.775 Tl
0.333 0.667 0.241 Tl
0.333 0.667 0.441 Tl
0.667 0.333 0.108 Tl
0.667 0.333 0.908 Tl
0.000 0.000 0.183 Ge
0.333 0.667 0.850 Ge
0.667 0.333 0.517 Ge
```

Largest 10 diffraction maxima, sorted by position, 5 to 70 degrees two-theta:
2θ/deg  d/Å  intensity
14.99  5.909  29
22.10  4.022  64
23.77  3.744  33
29.56  3.021  38
33.31  2.690  100
37.72  2.385  74
49.10  1.856  15
51.19  1.784  30
56.49  1.629  20
65.31  1.429  29

---

(3)
Computed powder XRD pattern of Pm4Er7Th for Cu Kα (λ = 1.5418 Å), from DFT lattice parameters and positions (PBE).

Crystal structure
```
Pm4Er7Th
1.0
7.101 0.000 0.000
-3.529 7.124 0.000
-1.718 -1.765 7.562
Pm Er Th
4 7 1
Direct
0.006 0.169 0.169 Pm
0.254 0.667 0.171 Pm
0.746 0.333 0.829 Pm
0.994 0.831 0.831 Pm
0.000 0.500 0.500 Er
0.252 0.004 0.500 Er
0.254 0.336 0.829 Er
0.499 0.829 0.830 Er
0.501 0.171 0.170 Er
0.746 0.664 0.171 Er
0.748 0.996 0.500 Er
0.500 0.500 0.500 Th
```

Largest 10 diffraction maxima, sorted by position, 5 to 70 degrees two-theta:
2θ/deg  d/Å  intensity
30.72  2.911  100
30.92  2.892  33
35.63  2.520  45
35.76  2.511  22
51.27  1.782  16
51.48  1.775  24
60.82  1.523  10
60.92  1.521  10
61.07  1.517  19
61.18  1.515  9

---

(4)
Computed powder XRD pattern of ErCu2AgF8 for Cu Kα (λ = 1.5418 Å), from DFT lattice parameters and positions (PBE).

Crystal structure
```
ErCu2AgF8
1.0
-2.759 2.759 5.306
2.759 -2.759 5.306
2.759 2.759 -5.306
Er Cu Ag F
1 2 1 8
Direct
0.000 0.000 0.000 Er
0.500 0.500 0.000 Cu
0.750 0.250 0.500 Cu
0.250 0.750 0.500 Ag
0.264 0.723 0.098 F
0.277 0.374 0.540 F
0.383 0.050 0.072 F
0.626 0.166 0.902 F
0.689 0.617 0.667 F
0.834 0.736 0.460 F
0.950 0.021 0.333 F
0.979 0.311 0.928 F
```

Largest 10 diffraction maxima, sorted by position, 5 to 70 degrees two-theta:
2θ/deg  d/Å  intensity
18.12  4.896  22
28.39  3.144  100
32.45  2.759  22
33.78  2.653  17
37.41  2.404  10
46.55  1.951  17
47.54  1.912  25
55.43  1.658  37
57.18  1.611  17
58.74  1.572  14

---

(5)
Computed powder XRD pattern of TiCoS2 for Cu Kα (λ = 1.5418 Å), from DFT lattice parameters and positions (PBE).

Crystal structure
```
TiCoS2
1.0
5.624 0.000 0.000
0.000 3.347 0.000
0.000 0.000 12.847
Ti Co S
4 4 8
Direct
0.202 0.250 0.065 Ti
0.298 0.750 0.565 Ti
0.702 0.250 0.435 Ti
0.798 0.750 0.935 Ti
0.137 0.250 0.861 Co
0.363 0.750 0.361 Co
0.637 0.250 0.639 Co
0.863 0.750 0.139 Co
0.171 0.250 0.428 S
0.223 0.750 0.197 S
0.277 0.250 0.697 S
0.329 0.750 0.928 S
0.671 0.250 0.072 S
0.723 0.750 0.303 S
0.777 0.250 0.803 S
0.829 0.750 0.572 S
```

Largest 10 diffraction maxima, sorted by position, 5 to 70 degrees two-theta:
2θ/deg  d/Å  intensity
17.21  5.152  43
27.54  3.239  42
27.78  3.212  38
31.84  2.810  100
33.99  2.637  46
34.16  2.625  46
41.96  2.153  67
44.44  2.039  95
47.96  1.897  41
54.86  1.674  39

---

(6)
Computed powder XRD pattern of TcNiC2 for Cu Kα (λ = 1.5418 Å), from DFT lattice parameters and positions (PBE).

Crystal structure
```
TcNiC2
1.0
4.500 0.000 0.000
0.000 4.500 0.000
0.000 0.000 8.925
Tc Ni C
4 4 8
Direct
0.000 0.000 0.000 Tc
0.000 0.500 0.250 Tc
0.500 0.000 0.750 Tc
0.500 0.500 0.500 Tc
0.000 0.000 0.500 Ni
0.000 0.500 0.750 Ni
0.500 0.000 0.250 Ni
0.500 0.500 0.000 Ni
0.245 0.250 0.625 C
0.250 0.745 0.875 C
0.250 0.755 0.375 C
0.255 0.250 0.125 C
0.745 0.750 0.125 C
0.750 0.245 0.375 C
0.750 0.255 0.875 C
0.755 0.750 0.625 C
```

Largest 10 diffraction maxima, sorted by position, 5 to 70 degrees two-theta:
2θ/deg  d/Å  intensity
22.12  4.018  7
34.62  2.591  100
36.19  2.482  2
40.07  2.250  25
40.42  2.231  12
46.24  1.963  2
57.97  1.591  13
58.23  1.584  25
69.31  1.356  24
69.79  1.348  12